Theoretical X-ray diffraction stick pattern
Compound: Mg2AlO6
Radiation: a wavelength of 1.5418 Å
Structure: a DFT-relaxed cell (PBE, the Materials Project)
Peak positions follow from Bragg's law for the DFT cell and can differ from measured ones.

Structure:
Cell: 5.374 5.377 10.420 Å, 89.43 76.53 64.13°
Space group P-1 (No. 2)
Unique sites:
Mg 0.170 0.170 0.000 [2 per cell]
Al 0.500 0.500 0.000 [1 per cell]
O 0.129 0.550 0.086 [2 per cell]
O 0.255 0.773 0.916 [2 per cell]
O 0.421 0.842 0.087 [2 per cell]

Most intense lines, 5 to 70 degrees two-theta, low angle first:
2theta  I/Imax
8.77  100
17.60  12
26.53  1
34.36  2
37.28  1
37.52  3
42.46  2
42.53  2
42.97  2
48.84  2



Theoretical X-ray diffraction stick pattern
Compound: Mg5Al7O16
Radiation: a wavelength of 1.5418 Å
Structure: a DFT-relaxed cell (PBE, the Materials Project)
Peak positions follow from Bragg's law for the DFT cell and can differ from measured ones.

Structure:
Cell: 5.819 5.799 8.236 Å, 90.00 90.88 90.00°
Space group P2/m (No. 10)
Unique sites:
Mg 0.000 0.000 0.000 [1 per cell]
Mg 0.249 0.000 0.377 [2 per cell]
Mg 0.252 0.500 0.126 [2 per cell]
Al 0.000 0.500 0.500 [1 per cell]
Al 0.254 0.250 0.748 [4 per cell]
Al 0.500 0.000 0.000 [1 per cell]
Al 0.500 0.500 0.500 [1 per cell]
O 0.028 0.500 0.736 [2 per cell]
O 0.040 0.000 0.750 [2 per cell]
O 0.250 0.279 0.512 [4 per cell]
O 0.267 0.233 0.979 [4 per cell]
O 0.475 0.500 0.731 [2 per cell]
O 0.479 0.000 0.762 [2 per cell]

Most intense lines, 5 to 70 degrees two-theta, low angle first:
2theta  I/Imax
18.75  53
36.08  39
36.21  83
36.38  100
43.98  47
44.10  94
58.20  42
58.49  46
63.65  62
64.43  63



Theoretical X-ray diffraction stick pattern
Compound: Mg3Al14O24
Radiation: a wavelength of 1.5418 Å
Structure: a DFT-relaxed cell (PBE, the Materials Project)
Peak positions follow from Bragg's law for the DFT cell and can differ from measured ones.

Structure:
Cell: 18.759 5.738 8.106 Å, 90.00 114.64 90.00°
Space group Cm (No. 8)
Unique sites:
Mg 0.000 0.000 0.000 [2 per cell]
Mg 0.006 0.500 0.755 [2 per cell]
Mg 0.334 0.000 0.338 [2 per cell]
Al 0.003 0.252 0.374 [4 per cell]
Al 0.087 0.500 0.210 [2 per cell]
Al 0.090 0.000 0.708 [2 per cell]
Al 0.167 0.500 0.670 [2 per cell]
Al 0.173 0.000 0.416 [2 per cell]
Al 0.173 0.242 0.032 [4 per cell]
Al 0.255 0.500 0.381 [2 per cell]
Al 0.333 0.245 0.717 [4 per cell]
Al 0.339 0.500 0.083 [2 per cell]
Al 0.415 0.000 0.044 [2 per cell]
Al 0.419 0.500 0.547 [2 per cell]
O 0.002 0.220 0.604 [4 per cell]
O 0.006 0.279 0.147 [4 per cell]
O 0.082 0.500 0.450 [2 per cell]
O 0.083 0.000 0.456 [2 per cell]
O 0.093 0.000 0.946 [2 per cell]
O 0.100 0.500 0.995 [2 per cell]
O 0.160 0.253 0.790 [4 per cell]
O 0.171 0.271 0.293 [4 per cell]
O 0.240 0.000 0.122 [2 per cell]
O 0.251 0.500 0.131 [2 per cell]
O 0.255 0.500 0.629 [2 per cell]
O 0.260 0.000 0.618 [2 per cell]
O 0.336 0.281 0.476 [4 per cell]
O 0.345 0.252 0.961 [4 per cell]
O 0.409 0.500 0.767 [2 per cell]
O 0.410 0.000 0.802 [2 per cell]
O 0.425 0.500 0.302 [2 per cell]
O 0.429 0.000 0.293 [2 per cell]

Most intense lines, 5 to 70 degrees two-theta, low angle first:
2theta  I/Imax
19.22  44
31.47  62
36.74  100
36.86  79
37.14  59
44.73  48
44.89  97
64.80  72
65.01  36
65.68  97